1.
MgTi2Tl2W2O10F2: calculated X-ray powder pattern (Cu Kα (λ = 1.5418 Å)), based on the GGA+U geometry in the Materials Project.

Largest 12 diffraction maxima, sorted by position, 10 to 90 degrees two-theta:
- 14.27 deg, I 43
- 14.59 deg, I 59
- 23.38 deg, I 46
- 24.08 deg, I 24
- 27.52 deg, I 42
- 27.87 deg, I 72
- 28.05 deg, I 100
- 28.50 deg, I 35
- 29.44 deg, I 88
- 37.71 deg, I 33
- 38.22 deg, I 26
- 44.22 deg, I 21

```
MgTi2Tl2W2O10F2
1.0
6.3830 -3.7319 0.0000
6.3830 3.7319 0.0000
-4.4062 0.0000 6.2049
Mg Ti Tl W O F
1 2 2 2 10 2
direct
0.0000 0.0000 0.0000
0.2460 0.2460 0.8223
0.2608 0.2608 0.3379
0.6472 0.6472 0.0295
0.7669 0.7669 0.6028
0.2347 0.7459 0.3030
0.7459 0.2347 0.3030
0.1702 0.5419 0.3536
0.1739 0.5356 0.9852
0.2931 0.9235 0.2134
0.2943 0.9263 0.5909
0.5356 0.1739 0.9852
0.5419 0.1702 0.3536
0.5578 0.5578 0.3463
0.9096 0.9096 0.1799
0.9235 0.2931 0.2134
0.9263 0.2943 0.5909
0.1483 0.1483 0.9575
0.3128 0.3128 0.6314
```

=====

2.
Tl4Mo5O17: calculated X-ray powder pattern (Cu Kα (λ = 1.5418 Å)), based on the GGA+U geometry in the Materials Project.

Largest 12 diffraction maxima, sorted by position, 10 to 90 degrees two-theta:
- 23.03 deg, I 23
- 24.29 deg, I 18
- 25.04 deg, I 41
- 25.36 deg, I 100
- 26.23 deg, I 25
- 26.58 deg, I 69
- 26.64 deg, I 40
- 26.76 deg, I 20
- 28.72 deg, I 68
- 30.02 deg, I 26
- 31.42 deg, I 24
- 45.93 deg, I 26

```
Tl4Mo5O17
1.0
7.9694 0.0000 0.0000
1.8410 10.8930 0.0000
1.8201 2.8217 10.6666
Tl Mo O
8 10 34
direct
0.0709 0.2704 0.2870
0.1228 0.1761 0.9700
0.2423 0.4273 0.5949
0.3912 0.8990 0.3029
0.6088 0.1010 0.6971
0.7577 0.5727 0.4051
0.8772 0.8239 0.0300
0.9291 0.7296 0.7130
0.1074 0.0621 0.6707
0.3008 0.5690 0.2234
0.3157 0.5199 0.9259
0.3704 0.8125 0.9755
0.4224 0.7607 0.6832
0.5776 0.2393 0.3168
0.6296 0.1875 0.0245
0.6843 0.4801 0.0741
0.6992 0.4310 0.7766
0.8926 0.9379 0.3293
0.0354 0.1340 0.5242
0.0765 0.9954 0.2304
0.1294 0.5020 0.3286
0.1773 0.1837 0.7214
0.2026 0.4824 0.0803
0.2029 0.7231 0.1219
0.2112 0.4536 0.8388
0.2116 0.9423 0.9301
0.2486 0.6972 0.8704
0.2893 0.9298 0.6547
0.2909 0.6975 0.6100
0.3957 0.2120 0.4255
0.4055 0.6299 0.3169
0.4762 0.4159 0.2228
0.4779 0.6070 0.0422
0.4838 0.1808 0.1739
0.4931 0.8602 0.0677
0.5069 0.1398 0.9323
0.5162 0.8192 0.8261
0.5221 0.3930 0.9578
0.5238 0.5841 0.7772
0.5945 0.3701 0.6831
0.6043 0.7880 0.5745
0.7091 0.3025 0.3900
0.7107 0.0702 0.3453
0.7514 0.3028 0.1296
0.7884 0.0577 0.0699
0.7888 0.5464 0.1612
0.7971 0.2769 0.8781
0.7974 0.5176 0.9197
0.8227 0.8163 0.2786
0.8706 0.4980 0.6714
0.9235 0.0046 0.7696
0.9646 0.8660 0.4758
```

=====

3.
Cr2WO6: calculated X-ray powder pattern (Cu Kα (λ = 1.5418 Å)), based on the GGA+U geometry in the Materials Project.

Largest 12 diffraction maxima, sorted by position, 10 to 90 degrees two-theta:
- 19.54 deg, I 21
- 21.41 deg, I 61
- 27.02 deg, I 100
- 33.57 deg, I 21
- 35.33 deg, I 71
- 38.59 deg, I 19
- 44.55 deg, I 18
- 53.31 deg, I 62
- 55.71 deg, I 16
- 62.99 deg, I 14
- 67.72 deg, I 19
- 68.12 deg, I 13

```
Cr2WO6
1.0
4.6665 0.0000 0.0000
0.0000 4.6665 0.0000
0.0000 0.0000 9.0868
Cr W O
4 2 12
direct
0.0000 0.0000 0.1649
0.0000 0.0000 0.8351
0.5000 0.5000 0.3351
0.5000 0.5000 0.6649
0.0000 0.0000 0.5000
0.5000 0.5000 0.0000
0.1944 0.1944 0.3396
0.1944 0.1944 0.6604
0.2009 0.2009 0.0000
0.2991 0.7009 0.5000
0.3056 0.6944 0.1604
0.3056 0.6944 0.8396
0.6944 0.3056 0.1604
0.6944 0.3056 0.8396
0.7009 0.2991 0.5000
0.7991 0.7991 0.0000
0.8056 0.8056 0.3396
0.8056 0.8056 0.6604
```

=====

4.
MnH4Cl2O2: calculated X-ray powder pattern (Cu Kα (λ = 1.5418 Å)), based on the GGA+U geometry in the Materials Project.

Largest 12 diffraction maxima, sorted by position, 10 to 90 degrees two-theta:
- 15.46 deg, I 100
- 20.06 deg, I 60
- 30.22 deg, I 59
- 31.04 deg, I 41
- 32.60 deg, I 16
- 36.55 deg, I 16
- 37.77 deg, I 31
- 40.34 deg, I 25
- 40.78 deg, I 27
- 49.76 deg, I 25
- 51.59 deg, I 19
- 56.79 deg, I 16

```
MnH4Cl2O2
1.0
3.8474 -4.4254 0.0000
3.8474 4.4254 0.0000
-0.7994 0.0000 3.6624
Mn H Cl O
1 4 2 2
direct
0.0000 0.0000 0.0000
0.2210 0.6000 0.8501
0.4000 0.7790 0.1499
0.6000 0.2210 0.8501
0.7790 0.4000 0.1499
0.2385 0.2385 0.5915
0.7615 0.7615 0.4085
0.2440 0.7560 0.0000
0.7560 0.2440 0.0000
```

=====

Question: What is the formula in the second record?
Answer: Tl4Mo5O17